Starting from a crystal structure in the Materials Project, relaxed with GGA-PBE, the powder diffractogram of Ce2Fe12P7 was simulated for Cu Kα (λ = 1.5418 Å).

Most intense lines, 10 to 90 degrees two-theta, most intense first:
2θ 39.26, d = 2.295 Å, I = 100; 2θ 49.88, d = 1.828 Å, I = 18; 2θ 53.87, d = 1.702 Å, I = 15; 2θ 57.33, d = 1.607 Å, I = 11; 2θ 86.39, d = 1.126 Å, I = 11; 2θ 76.47, d = 1.246 Å, I = 11; 2θ 46.58, d = 1.950 Å, I = 10; 2θ 34.50, d = 2.599 Å, I = 10; 2θ 26.93, d = 3.311 Å, I = 9; 2θ 48.93, d = 1.862 Å, I = 9

Crystal structure
```
Ce2Fe12P7
1.0
9.005 0.000 0.000
-4.502 7.798 0.000
0.000 0.000 3.657
Ce Fe P
2 12 7
Cartesian
0.000 0.000 0.000 Ce
0.000 5.199 1.828 Ce
-3.022 5.988 1.828 Fe
-0.910 3.075 0.000 Fe
0.827 2.187 1.828 Fe
-1.385 7.049 0.000 Fe
2.595 1.652 0.000 Fe
4.421 0.904 1.828 Fe
3.075 3.518 1.828 Fe
2.294 5.473 0.000 Fe
2.195 7.421 1.828 Fe
6.277 1.421 0.000 Fe
4.636 4.725 0.000 Fe
6.011 3.377 1.828 Fe
-2.198 4.937 0.000 P
2.240 0.330 1.828 P
1.326 3.426 0.000 P
0.872 7.233 0.000 P
4.502 2.599 0.000 P
3.668 5.694 1.828 P
7.599 1.775 1.828 P
```